Record 1
This entry pairs a crystal structure of SnAsHOsBr with its simulated PXRD pattern. Radiation: Cu Kα, 1.54184 Å. Structure: the PBE geometry in Alexandria.

Atomic structure:
a b c (Å): 3.877 3.878 8.353
angles (deg): 90.22 90.05 119.98
Fractional coordinates of all 5 atoms:
1 Sn 0.000 0.000 0.000
2 As 0.003 0.010 0.372
3 H 0.334 0.666 0.063
4 Os 0.335 0.675 0.260
5 Br 0.664 0.333 0.758

Most intense lines, 2θ = 10–90°, by angle:
2θ = 10.59°, I = 79
2θ = 21.27°, I = 20
2θ = 26.54°, I = 13
2θ = 28.65°, I = 100
2θ = 34.20°, I = 36
2θ = 34.31°, I = 43
2θ = 42.05°, I = 20
2θ = 42.21°, I = 35
2θ = 46.86°, I = 48
2θ = 55.85°, I = 15


Record 2
This entry pairs a crystal structure of AsHPbBr2 with its simulated PXRD pattern. Radiation: Cu Kα, 1.54184 Å. Structure: the PBE geometry in Alexandria.

Atomic structure:
a b c (Å): 5.676 5.676 3.755
angles (deg): 90.00 90.00 90.00
Fractional coordinates of all 5 atoms:
1 As 0.000 0.000 0.000
2 H 0.000 0.000 0.500
3 Pb 0.500 0.500 0.000
4 Br 0.000 0.500 0.500
5 Br 0.500 0.000 0.500

Most intense lines, 2θ = 10–90°, by angle:
2θ = 15.61°, I = 21
2θ = 28.50°, I = 12
2θ = 31.53°, I = 56
2θ = 32.66°, I = 100
2θ = 45.19°, I = 21
2θ = 56.86°, I = 41
2θ = 58.99°, I = 19
2θ = 68.43°, I = 12
2θ = 74.81°, I = 9
2θ = 75.43°, I = 9


Record 3
This entry pairs a crystal structure of Rb2HfAsBr6 with its simulated PXRD pattern. Radiation: Cu Kα, 1.54184 Å. Structure: the PBE geometry in Alexandria.

Atomic structure:
a b c (Å): 8.429 8.429 8.429
angles (deg): 60.00 60.00 60.00
Fractional coordinates of all 10 atoms:
1 Rb 0.250 0.250 0.250
2 Rb 0.750 0.750 0.750
3 Hf 0.000 0.000 0.000
4 As 0.500 0.500 0.500
5 Br 0.220 0.220 0.780
6 Br 0.220 0.780 0.220
7 Br 0.220 0.780 0.780
8 Br 0.780 0.220 0.220
9 Br 0.780 0.220 0.780
10 Br 0.780 0.780 0.220

Most intense lines, 2θ = 10–90°, by angle:
2θ = 12.86°, I = 45
2θ = 14.86°, I = 46
2θ = 21.08°, I = 50
2θ = 25.89°, I = 37
2θ = 29.99°, I = 100
2θ = 39.27°, I = 23
2θ = 42.92°, I = 67
2θ = 48.29°, I = 19
2θ = 53.24°, I = 21
2θ = 70.69°, I = 23


Record 4
This entry pairs a crystal structure of Hg4As2Br5 with its simulated PXRD pattern. Radiation: Cu Kα, 1.54184 Å. Structure: the PBE geometry in Alexandria.

Atomic structure:
a b c (Å): 4.435 9.569 9.831
angles (deg): 70.93 77.37 78.57
Fractional coordinates of all 11 atoms:
1 Hg 0.121 0.254 0.034
2 Hg 0.374 0.424 0.343
3 Hg 0.626 0.576 0.657
4 Hg 0.879 0.746 0.966
5 As 0.421 0.585 0.072
6 As 0.579 0.415 0.928
7 Br 0.000 0.000 0.000
8 Br 0.020 0.799 0.673
9 Br 0.274 0.323 0.623
10 Br 0.726 0.677 0.377
11 Br 0.980 0.201 0.327

Most intense lines, 2θ = 10–90°, by angle:
2θ = 15.75°, I = 46
2θ = 24.22°, I = 100
2θ = 25.02°, I = 55
2θ = 29.24°, I = 77
2θ = 30.51°, I = 37
2θ = 30.81°, I = 53
2θ = 31.88°, I = 59
2θ = 37.91°, I = 38
2θ = 40.71°, I = 41
2θ = 50.35°, I = 31


Record 5
This entry pairs a crystal structure of HgAsBr with its simulated PXRD pattern. Radiation: Cu Kα, 1.54184 Å. Structure: the PBE geometry in Alexandria.

Atomic structure:
a b c (Å): 3.762 7.147 8.055
angles (deg): 109.65 90.06 104.50
Fractional coordinates of all 6 atoms:
1 Hg 0.160 0.309 0.138
2 Hg 0.840 0.691 0.862
3 As 0.187 0.369 0.470
4 As 0.813 0.631 0.530
5 Br 0.387 0.787 0.135
6 Br 0.613 0.213 0.865

Most intense lines, 2θ = 10–90°, by angle:
2θ = 11.72°, I = 83
2θ = 13.65°, I = 61
2θ = 14.58°, I = 55
2θ = 25.85°, I = 100
2θ = 26.29°, I = 74
2θ = 27.49°, I = 55
2θ = 31.29°, I = 56
2θ = 31.74°, I = 41
2θ = 32.60°, I = 59
2θ = 35.66°, I = 50


Record 6
This entry pairs a crystal structure of Hg4As2Br3 with its simulated PXRD pattern. Radiation: Cu Kα, 1.54184 Å. Structure: the PBE geometry in Alexandria.

Atomic structure:
a b c (Å): 8.468 8.468 8.054
angles (deg): 100.45 100.45 93.84
Fractional coordinates of all 18 atoms:
1 Hg 0.075 0.728 0.945
2 Hg 0.272 0.925 0.555
3 Hg 0.298 0.332 0.430
4 Hg 0.332 0.298 0.930
5 Hg 0.668 0.702 0.070
6 Hg 0.702 0.668 0.570
7 Hg 0.728 0.075 0.445
8 Hg 0.925 0.272 0.055
9 As 0.188 0.454 0.162
10 As 0.454 0.188 0.662
11 As 0.546 0.812 0.338
12 As 0.812 0.546 0.838
13 Br 0.017 0.731 0.393
14 Br 0.269 0.983 0.107
15 Br 0.350 0.650 0.750
16 Br 0.650 0.350 0.250
17 Br 0.731 0.017 0.893
18 Br 0.983 0.269 0.607

Most intense lines, 2θ = 10–90°, by angle:
2θ = 21.46°, I = 27
2θ = 22.25°, I = 18
2θ = 22.97°, I = 53
2θ = 29.41°, I = 20
2θ = 30.16°, I = 19
2θ = 31.10°, I = 100
2θ = 32.43°, I = 21
2θ = 41.12°, I = 22
2θ = 43.88°, I = 26
2θ = 45.20°, I = 17